Diffraction record for Tb2NdAg4Pb4. The powder diffraction line list is computed, not measured: it uses the PBE geometry in OQMD and Cu Kα (λ = 1.5418 Å).

```
data_Tb2NdAg4Pb4
_space_group_name_H-M_alt 'I m m m'
_space_group_IT_number 71
_space_group_name_Hall '-I 2 2'
_cell_length_a 4.6482
_cell_length_b 7.5559
_cell_length_c 15.6466
_cell_angle_alpha 90.00
_cell_angle_beta 90.00
_cell_angle_gamma 90.00
loop_
_atom_site_label
_atom_site_type_symbol
_atom_site_fract_x
_atom_site_fract_y
_atom_site_fract_z
Tb1 Tb 0.0000 0.0000 0.1284
Nd1 Nd 0.0000 0.5000 0.0000
Ag1 Ag 0.0000 0.1976 0.3287
Pb1 Pb 0.0000 0.3020 0.5000
Pb2 Pb 0.0000 0.5000 0.2165
```

Principal peaks in the range 2θ from 5° to 70°, in order of rising 2θ:
index	two_theta	I/Imax
0 1 5	30.9	25
1 2 1	31.0	100
1 1 4	32.2	87
2 0 0	38.7	47
0 3 3	39.7	21
0 2 6	42.1	18
1 2 5	42.2	35
1 3 2	42.4	28
2 4 0	63.5	18
1 5 4	69.7	19